This entry pairs a crystal structure of Li3Co3SbO8 with its computed powder XRD pattern. Radiation: Cu Kα X-rays. Structure: the PBE+U geometry in Alexandria.
Lines closer than 0.1° are merged.

Atomic structure:
abc: 6.0603 6.0099 10.4695
angles: 90.00 124.80 90.00
Space group P2_1/c (No. 14)
Symmetry-distinct sites (fractional):
Li1 0.0000 0.0000 0.0000 (multiplicity 2)
Li2 0.0052 0.2456 0.2496 (multiplicity 4)
Co1 0.4959 0.7392 0.7531 (multiplicity 4)
Co2 0.5000 0.0000 0.5000 (multiplicity 2)
Sb1 0.5000 0.0000 0.0000 (multiplicity 2)
O1 0.2731 0.5035 0.2656 (multiplicity 4)
O2 0.2739 0.2368 0.0059 (multiplicity 4)
O3 0.2779 0.7376 0.5078 (multiplicity 4)
O4 0.2856 0.0039 0.2519 (multiplicity 4)

Top 12 peaks for 2θ = 10–90°, low angle first:
17.82 deg, 4.977 Å, I = 100.0, hkl 1 0 0
18.00 deg, 4.927 Å, I = 13.9, hkl 0 1 1
34.75 deg, 2.582 Å, I = 17.7, hkl 1 0 -4
34.97 deg, 2.566 Å, I = 28.6, hkl 1 2 -2
36.47 deg, 2.464 Å, I = 17.8, hkl 2 0 -4
42.04 deg, 2.149 Å, I = 21.2, hkl 0 0 4
42.36 deg, 2.134 Å, I = 40.8, hkl 2 2 -2
46.16 deg, 1.967 Å, I = 10.8, hkl 1 2 2
55.78 deg, 1.648 Å, I = 10.2, hkl 3 2 -2
60.97 deg, 1.520 Å, I = 11.8, hkl 2 2 2
61.45 deg, 1.509 Å, I = 11.8, hkl 2 2 -6
77.49 deg, 1.232 Å, I = 8.0, hkl 0 4 4